(1)
The following is a calculated powder XRD pattern of NiC6O6. It was derived from a crystal structure in the Materials Project, relaxed with PBE+U, using λ = 1.5418 Å (Cu Kα).
No peak broadening, texture or thermal motion is included.

Crystal structure
```
data_NiC6O6
_chemical_formula_sum 'Ni4 C24 O24'
_cell_length_a 8.030
_cell_length_b 17.244
_cell_length_c 18.163
_cell_angle_alpha 90.00
_cell_angle_beta 98.52
_cell_angle_gamma 90.00
_space_group_name_H-M_alt 'C 1 2/c 1'
_space_group_IT_number 15
_space_group_name_Hall '-C 2yc'
loop_
_atom_site_label
_atom_site_type_symbol
_atom_site_fract_x
_atom_site_fract_y
_atom_site_fract_z
Ni1 Ni 0.250 0.250 0.000
C1 C 0.010 0.110 0.998
C2 C 0.139 0.156 0.998
C3 C 0.229 0.302 0.249
O1 O 0.077 0.411 0.752
O2 O 0.108 0.069 0.502
O3 O 0.191 0.156 0.712
```

Top 6 peaks for 2θ from 15° to 90°, in order of falling intensity:
- 4.491 Å, 2θ 19.77, I = 100.0
- 4.415 Å, 2θ 20.11, I = 50.6
- 4.329 Å, 2θ 20.51, I = 41.7
- 3.606 Å, 2θ 24.69, I = 31.2
- 3.841 Å, 2θ 23.16, I = 30.5
- 2.734 Å, 2θ 32.76, I = 26.6

---

(2)
The following is a calculated powder XRD pattern of Ni12C8O31. It was derived from a crystal structure in the Materials Project, relaxed with PBE+U, using λ = 1.5418 Å (Cu Kα).
No peak broadening, texture or thermal motion is included.

Crystal structure
```
data_Ni12C8O31
_chemical_formula_sum 'Ni12 C8 O31'
_cell_length_a 8.396
_cell_length_b 8.396
_cell_length_c 8.396
_cell_angle_alpha 90.00
_cell_angle_beta 90.00
_cell_angle_gamma 90.00
_space_group_name_H-M_alt 'P -4 3 m'
_space_group_IT_number 215
_space_group_name_Hall 'P -4 2 3'
loop_
_atom_site_label
_atom_site_type_symbol
_atom_site_fract_x
_atom_site_fract_y
_atom_site_fract_z
Ni1 Ni 0.000 0.250 0.500
C1 C 0.202 0.202 0.202
C2 C 0.294 0.294 0.706
O1 O 0.000 0.000 0.500
O2 O 0.000 0.500 0.500
O3 O 0.076 0.264 0.264
O4 O 0.232 0.232 0.579
O5 O 0.500 0.500 0.500
```

Top 6 peaks for 2θ from 15° to 90°, in order of falling intensity:
- 3.427 Å, 2θ 26.00, I = 100.0
- 2.099 Å, 2θ 43.10, I = 86.5
- 2.244 Å, 2θ 40.19, I = 49.1
- 2.655 Å, 2θ 33.76, I = 40.5
- 2.424 Å, 2θ 37.09, I = 37.3
- 1.484 Å, 2θ 62.59, I = 35.2